[1]
For Ho4SbPbSe2, a PBE-relaxed structure gives the simulated PXRD pattern in this record (Cu Kα, 1.54184 Å).
Peak positions follow from Bragg's law for the DFT cell and can differ from measured ones.

Crystal structure
a b c (Å): 7.3219 4.2518 7.3556
angles (deg): 90.00 109.54 90.00
Fractional positions:
Ho1 0.2409 0.0000 0.2476
Ho2 0.2417 0.5000 0.7464
Ho3 0.7583 0.5000 0.2536
Ho4 0.7591 0.0000 0.7524
Sb1 0.5000 0.0000 0.0000
Pb1 0.5000 0.5000 0.5000
Se1 0.0000 0.0000 0.5000
Se2 0.0000 0.5000 0.0000

The 10 most intense peaks (2θ = 10–90°), sorted by position:
2θ (°)	d/Å	I_rel	index
29.79	2.999	100	1 1 1
42.55	2.125	38	0 2 0
42.72	2.117	37	2 0 2
52.81	1.734	20	0 0 4
53.09	1.725	6	4 0 0
61.88	1.500	12	2 2 2
70.05	1.343	17	1 3 1
70.29	1.339	17	4 2 0
77.87	1.227	7	2 0 -6
77.99	1.225	13	1 1 5

[2]
For ZnCu5Pt2, a PBE-relaxed structure gives the simulated PXRD pattern in this record (Cu Kα, 1.54184 Å).
Peak positions follow from Bragg's law for the DFT cell and can differ from measured ones.

Crystal structure
a b c (Å): 5.3120 10.6124 3.7318
angles (deg): 90.00 90.00 90.00
Fractional positions:
Zn1 0.0000 0.0000 0.0000
Zn2 0.5000 0.5000 0.0000
Cu1 0.0000 0.5000 0.0000
Cu2 0.0072 0.2515 0.0000
Cu3 0.2411 0.6278 0.5000
Cu4 0.2589 0.1278 0.5000
Cu5 0.4928 0.7515 0.0000
Cu6 0.5000 0.0000 0.0000
Cu7 0.5072 0.2485 0.0000
Cu8 0.7411 0.8722 0.5000
Cu9 0.7589 0.3722 0.5000
Cu10 0.9928 0.7485 0.0000
Pt1 0.2438 0.8763 0.5000
Pt2 0.2562 0.3763 0.5000
Pt3 0.7438 0.6237 0.5000
Pt4 0.7562 0.1237 0.5000

The 10 most intense peaks (2θ = 10–90°), sorted by position:
2θ (°)	d/Å	I_rel	index
23.70	3.754	20	1 2 0
23.84	3.732	10	0 0 1
33.87	2.647	16	1 2 1
41.76	2.163	100	0 4 1
48.50	1.877	32	2 4 0
48.81	1.866	16	0 0 2
71.02	1.327	10	0 8 0
71.26	1.323	19	2 4 2
85.91	1.131	23	2 8 1
86.38	1.126	12	0 4 3